Structure and computed powder diffractogram of Na3CoH6 (a GGA-PBE-relaxed structure; Cu Kα (weighted mean of Kα1 and Kα2)).

Main lines, in order of rising 2θ (2θ = 10–90°):
(hkl)	Position (°2θ)	d/Å	I (rel.)
2 0 0	20.06	4.426	50.3
0 1 1	20.29	4.376	41.5
1 0 2	21.80	4.077	58.7
1 1 1	22.67	3.923	47.9
0 1 3	34.38	2.608	100.0
0 2 0	36.13	2.486	99.6
3 1 1	36.73	2.447	76.2
2 1 3	40.13	2.247	34.1
3 1 2	40.61	2.222	26.7
3 2 2	52.03	1.758	28.3

Crystal structure
```
data_Na3CoH6
_chemical_formula_sum 'Na12 Co4 H24'
_space_group_name_H-M_alt 'P n m a'
_space_group_IT_number 62
_space_group_name_Hall '-P 2ac 2n'
_cell_length_a 8.8522
_cell_length_b 4.9775
_cell_length_c 9.1870
_cell_angle_alpha 90.00
_cell_angle_beta 90.00
_cell_angle_gamma 90.00
loop_
_atom_site_label
_atom_site_type_symbol
_atom_site_fract_x
_atom_site_fract_y
_atom_site_fract_z
Na1 Na 0.0453 0.2500 0.1251
Na2 Na 0.1049 0.7500 0.5346
Na3 Na 0.2170 0.2500 0.7497
Co1 Co 0.2214 0.2500 0.4000
H1 H 0.1101 0.0379 0.3398
H2 H 0.1285 0.2500 0.5401
H3 H 0.1728 0.5271 0.9627
H4 H 0.1917 0.7500 0.7544
```